[1]
Computed powder XRD pattern
Compound: Pm3Pr2DyEr6
Radiation: λ = 1.5418 Å (Cu Kα)
Structure: DFT lattice parameters and positions (PBE)
Neutral-atom scattering factors, no anomalous dispersion.

Cell and atoms:
Lattice parameters (Å, degrees): 6.212 6.212 11.769 95.03 95.03 119.98
Element x y z (fractional)
1 Pm 0.000 0.000 0.000
2 Pm 0.333 0.667 0.000
3 Pm 0.667 0.333 0.000
4 Pr 0.166 0.834 0.500
5 Pr 0.834 0.166 0.500
6 Dy 0.500 0.500 0.500
7 Er 0.084 0.416 0.250
8 Er 0.251 0.251 0.750
9 Er 0.416 0.084 0.250
10 Er 0.584 0.916 0.750
11 Er 0.749 0.749 0.250
12 Er 0.916 0.584 0.750

Main lines, in order of rising 2θ (2θ from 10° to 90°):
| two_theta | I_rel |
| --- | --- |
| 30.56 | 100.0 |
| 30.87 | 32.5 |
| 35.53 | 67.1 |
| 50.92 | 24.2 |
| 51.32 | 23.6 |
| 60.56 | 14.4 |
| 60.74 | 28.5 |
| 61.10 | 14.0 |


[2]
Computed powder XRD pattern
Compound: PmPr2DyEr
Radiation: λ = 1.5418 Å (Cu Kα)
Structure: DFT lattice parameters and positions (PBE)
Neutral-atom scattering factors, no anomalous dispersion.

Cell and atoms:
Lattice parameters (Å, degrees): 7.196 7.196 7.332 90.00 90.00 108.27
Element x y z (fractional)
1 Pm 0.026 0.974 0.750
2 Pm 0.974 0.026 0.250
3 Pr 0.308 0.308 0.000
4 Pr 0.308 0.308 0.500
5 Pr 0.692 0.692 0.000
6 Pr 0.692 0.692 0.500
7 Dy 0.260 0.740 0.250
8 Dy 0.740 0.260 0.750
9 Er 0.288 0.712 0.750
10 Er 0.712 0.288 0.250

Main lines, in order of rising 2θ (2θ from 10° to 90°):
| two_theta | I_rel |
| --- | --- |
| 26.08 | 53.5 |
| 27.61 | 24.9 |
| 28.76 | 58.8 |
| 30.66 | 52.0 |
| 32.36 | 100.0 |
| 35.29 | 45.7 |
| 39.56 | 42.4 |
| 45.18 | 58.8 |


[3]
Computed powder XRD pattern
Compound: Pm2PrDy2Er2
Radiation: λ = 1.5418 Å (Cu Kα)
Structure: DFT lattice parameters and positions (PBE)
Neutral-atom scattering factors, no anomalous dispersion.

Cell and atoms:
Lattice parameters (Å, degrees): 11.598 3.483 11.920 90.00 102.25 90.00
Element x y z (fractional)
1 Pm 0.204 0.000 0.366
2 Pm 0.296 0.500 0.634
3 Pm 0.704 0.500 0.366
4 Pm 0.796 0.000 0.634
5 Pr 0.000 0.500 0.500
6 Pr 0.500 0.000 0.500
7 Dy 0.092 0.000 0.778
8 Dy 0.408 0.500 0.222
9 Dy 0.592 0.500 0.778
10 Dy 0.908 0.000 0.222
11 Er 0.156 0.000 0.071
12 Er 0.344 0.500 0.929
13 Er 0.656 0.500 0.071
14 Er 0.844 0.000 0.929

Main lines, in order of rising 2θ (2θ from 10° to 90°):
| two_theta | I_rel |
| --- | --- |
| 27.40 | 47.1 |
| 30.55 | 100.0 |
| 30.85 | 84.4 |
| 31.42 | 84.7 |
| 34.37 | 61.2 |
| 35.04 | 66.7 |
| 52.60 | 54.7 |
| 62.19 | 46.3 |


[4]
Computed powder XRD pattern
Compound: PmPr2Dy2Er
Radiation: λ = 1.5418 Å (Cu Kα)
Structure: DFT lattice parameters and positions (PBE)
Neutral-atom scattering factors, no anomalous dispersion.

Cell and atoms:
Lattice parameters (Å, degrees): 7.040 5.710 9.920 90.00 90.00 90.00
Element x y z (fractional)
1 Pm 0.000 0.000 0.000
2 Pm 0.500 0.000 0.000
3 Pr 0.000 0.500 0.500
4 Pr 0.250 0.000 0.329
5 Pr 0.500 0.500 0.500
6 Pr 0.750 0.000 0.671
7 Dy 0.250 0.000 0.666
8 Dy 0.250 0.500 0.167
9 Dy 0.750 0.000 0.334
10 Dy 0.750 0.500 0.833
11 Er 0.250 0.500 0.837
12 Er 0.750 0.500 0.163

Main lines, in order of rising 2θ (2θ from 10° to 90°):
| two_theta | I_rel |
| --- | --- |
| 31.17 | 87.4 |
| 31.28 | 100.0 |
| 40.65 | 13.4 |
| 44.75 | 32.4 |
| 55.58 | 29.3 |
| 55.70 | 24.4 |
| 61.90 | 28.5 |
| 74.14 | 9.6 |